[1]
KPrSeO: calculated powder diffractogram (CuKα), based on a cell relaxed with PBE.
No peak broadening, texture or thermal motion is included.

Crystal structure
```
KPrSeO
1.0
4.2609 0.0000 0.0000
0.0000 4.2609 0.0000
0.0000 0.0000 10.2925
K Pr Se O
2 2 2 2
direct
0.2500 0.7500 0.0000 K
0.7500 0.2500 0.0000 K
0.2500 0.2500 0.3941 Pr
0.7500 0.7500 0.6059 Pr
0.2500 0.2500 0.7772 Se
0.7500 0.7500 0.2228 Se
0.2500 0.7500 0.5000 O
0.7500 0.2500 0.5000 O
```

The 10 most intense peaks (2θ = 5–70°), by intensity:
27.2 deg, rel. 100
33.5 deg, rel. 84
8.6 deg, rel. 65
42.4 deg, rel. 42
55.1 deg, rel. 40
30.9 deg, rel. 39
29.7 deg, rel. 39
51.1 deg, rel. 35
34.5 deg, rel. 19
62.8 deg, rel. 17


[2]
CdRe2Mo: calculated powder diffractogram (CuKα), based on a cell relaxed with PBE.
No peak broadening, texture or thermal motion is included.

Crystal structure
```
CdRe2Mo
1.0
0.0000 3.1797 3.1797
3.1797 0.0000 3.1797
3.1797 3.1797 0.0000
Cd Re Mo
1 2 1
direct
0.0000 0.0000 0.0000 Cd
0.2500 0.2500 0.2500 Re
0.5000 0.5000 0.5000 Re
0.7500 0.7500 0.7500 Mo
```

The 5 most intense peaks (2θ = 5–70°), by intensity:
40.1 deg, rel. 100
58.0 deg, rel. 17
24.2 deg, rel. 8
47.4 deg, rel. 5
63.8 deg, rel. 2


[3]
Ba2InAgO4: calculated powder diffractogram (CuKα), based on a cell relaxed with PBE.
No peak broadening, texture or thermal motion is included.

Crystal structure
```
Ba2InAgO4
1.0
4.1647 0.0000 0.0000
0.0000 4.1647 0.0000
0.0000 0.0000 8.5553
Ba In Ag O
2 1 1 4
direct
0.0000 0.0000 0.2230 Ba
0.0000 0.0000 0.7770 Ba
0.5000 0.5000 0.0000 In
0.5000 0.5000 0.5000 Ag
0.0000 0.5000 0.0000 O
0.5000 0.0000 0.0000 O
0.5000 0.5000 0.2647 O
0.5000 0.5000 0.7353 O
```

The 10 most intense peaks (2θ = 5–70°), by intensity:
29.9 deg, rel. 100
30.4 deg, rel. 60
53.7 deg, rel. 39
43.5 deg, rel. 28
52.9 deg, rel. 19
62.2 deg, rel. 14
42.3 deg, rel. 12
10.3 deg, rel. 10
63.1 deg, rel. 9
38.3 deg, rel. 5


[4]
GaAu15: calculated powder diffractogram (CuKα), based on a cell relaxed with PBE.
No peak broadening, texture or thermal motion is included.

Crystal structure
```
GaAu15
1.0
5.1160 0.0000 0.0000
0.0000 37.3546 0.0000
-1.9017 0.0000 4.7699
Ga Au
2 30
direct
0.0000 0.2105 0.2500 Ga
0.0000 0.7895 0.7500 Ga
0.0000 0.2392 0.7500 Au
0.0000 0.2840 0.2500 Au
0.0000 0.3217 0.7500 Au
0.0000 0.3625 0.2500 Au
0.0000 0.4011 0.7500 Au
0.0000 0.4411 0.2500 Au
0.0000 0.4801 0.7500 Au
0.0000 0.5199 0.2500 Au
0.0000 0.5589 0.7500 Au
0.0000 0.5989 0.2500 Au
0.0000 0.6375 0.7500 Au
0.0000 0.6783 0.2500 Au
0.0000 0.7160 0.7500 Au
0.0000 0.7608 0.2500 Au
0.5000 0.2061 0.7500 Au
0.5000 0.2388 0.2500 Au
0.5000 0.2837 0.7500 Au
0.5000 0.3215 0.2500 Au
0.5000 0.3619 0.7500 Au
0.5000 0.4011 0.2500 Au
0.5000 0.4408 0.7500 Au
0.5000 0.4802 0.2500 Au
0.5000 0.5198 0.7500 Au
0.5000 0.5592 0.2500 Au
0.5000 0.5989 0.7500 Au
0.5000 0.6381 0.2500 Au
0.5000 0.6785 0.7500 Au
0.5000 0.7163 0.2500 Au
0.5000 0.7612 0.7500 Au
0.5000 0.7939 0.2500 Au
```

The 10 most intense peaks (2θ = 5–70°), by intensity:
37.8 deg, rel. 100
37.9 deg, rel. 47
35.8 deg, rel. 42
44.6 deg, rel. 34
42.8 deg, rel. 27
42.6 deg, rel. 23
62.1 deg, rel. 15
64.9 deg, rel. 14
63.3 deg, rel. 12
63.5 deg, rel. 12


[5]
Dy4TmGa3: calculated powder diffractogram (CuKα), based on a cell relaxed with PBE.
No peak broadening, texture or thermal motion is included.

Crystal structure
```
Dy4TmGa3
1.0
-4.0717 4.0717 3.2068
4.0717 -4.0717 3.2068
4.0717 4.0717 -3.2068
Dy Tm Ga
4 1 3
direct
0.1238 0.1238 0.5373 Dy
0.4135 0.8762 0.0000 Dy
0.5865 0.5865 0.4627 Dy
0.8762 0.4135 0.0000 Dy
0.0000 0.0000 0.0000 Tm
0.2500 0.7500 0.5000 Ga
0.5000 0.5000 0.0000 Ga
0.7500 0.2500 0.5000 Ga
```

The 10 most intense peaks (2θ = 5–70°), by intensity:
31.1 deg, rel. 100
31.9 deg, rel. 98
45.2 deg, rel. 71
44.5 deg, rel. 35
62.2 deg, rel. 24
65.3 deg, rel. 19
28.2 deg, rel. 17
55.8 deg, rel. 17
21.8 deg, rel. 13
64.8 deg, rel. 10


[6]
TbSiH2O4: calculated powder diffractogram (CuKα), based on a cell relaxed with PBE.
No peak broadening, texture or thermal motion is included.

Crystal structure
```
TbSiH2O4
1.0
0.0000 5.3175 3.1724
4.7940 0.0000 3.1724
4.7940 5.3175 0.0000
Tb Si H O
2 2 4 8
direct
0.0000 0.0000 0.0000 Tb
0.2500 0.2500 0.2500 Tb
0.4795 0.4795 0.5205 Si
0.7295 0.7295 0.7705 Si
0.1058 0.6366 0.4430 H
0.4354 0.8070 0.6134 H
0.6366 0.1058 0.8146 H
0.8070 0.4354 0.1442 H
0.2709 0.3816 0.5057 O
0.3816 0.2709 0.8418 O
0.4082 0.7443 0.8684 O
0.4811 0.8166 0.4415 O
0.7443 0.4082 0.9791 O
0.8085 0.9892 0.7689 O
0.8166 0.4811 0.2608 O
0.9892 0.8085 0.4334 O
```

The 10 most intense peaks (2θ = 5–70°), by intensity:
25.0 deg, rel. 100
18.7 deg, rel. 70
32.9 deg, rel. 43
33.9 deg, rel. 40
48.5 deg, rel. 37
50.7 deg, rel. 31
40.6 deg, rel. 25
32.5 deg, rel. 22
33.7 deg, rel. 20
30.3 deg, rel. 19


[7]
HoTmGa2Pt4: calculated powder diffractogram (CuKα), based on a cell relaxed with PBE.
No peak broadening, texture or thermal motion is included.

Crystal structure
```
HoTmGa2Pt4
1.0
4.3737 0.0000 0.0000
-2.1869 3.7877 0.0000
0.0000 0.0000 9.0376
Ho Tm Ga Pt
1 1 2 4
direct
0.0000 0.0000 0.0000 Ho
0.6667 0.3333 0.5000 Tm
0.3333 0.6667 0.2504 Ga
0.3333 0.6667 0.7496 Ga
0.0000 0.0000 0.3379 Pt
0.0000 0.0000 0.6621 Pt
0.6667 0.3333 0.1651 Pt
0.6667 0.3333 0.8349 Pt
```

The 10 most intense peaks (2θ = 5–70°), by intensity:
38.2 deg, rel. 100
41.3 deg, rel. 69
23.5 deg, rel. 31
57.5 deg, rel. 31
66.8 deg, rel. 10
48.0 deg, rel. 5
61.6 deg, rel. 4
65.2 deg, rel. 4
30.8 deg, rel. 4
19.6 deg, rel. 3


[8]
Re2AuN2: calculated powder diffractogram (CuKα), based on a cell relaxed with PBE.
No peak broadening, texture or thermal motion is included.

Crystal structure
```
Re2AuN2
1.0
-2.4807 5.5095 2.5581
2.4807 -5.5095 2.5581
2.4807 5.5095 -2.5581
Re Au N
4 2 4
direct
0.2112 0.1455 0.3567 Re
0.2888 0.6455 0.9344 Re
0.7112 0.3545 0.0656 Re
0.7888 0.8545 0.6433 Re
0.3612 0.8612 0.5000 Au
0.8612 0.3612 0.5000 Au
0.2141 0.1494 0.6714 N
0.4779 0.5427 0.3286 N
0.7141 0.0427 0.0647 N
0.9779 0.6494 0.9353 N
```

The 10 most intense peaks (2θ = 5–70°), by intensity:
30.3 deg, rel. 100
41.3 deg, rel. 79
38.8 deg, rel. 68
32.5 deg, rel. 47
19.6 deg, rel. 42
35.1 deg, rel. 41
41.4 deg, rel. 39
47.7 deg, rel. 33
40.5 deg, rel. 32
16.1 deg, rel. 31


[9]
CsW3I7: calculated powder diffractogram (CuKα), based on a cell relaxed with PBE.
No peak broadening, texture or thermal motion is included.

Crystal structure
```
CsW3I7
1.0
10.9967 0.0000 0.0000
-5.4984 9.5235 0.0000
0.0000 0.0000 16.9471
Cs W I
4 12 28
direct
0.0000 0.0000 0.0000 Cs
0.0000 0.0000 0.5000 Cs
0.3333 0.6667 0.2500 Cs
0.6667 0.3333 0.7500 Cs
0.1914 0.5263 0.8143 W
0.1914 0.6652 0.6857 W
0.3348 0.5263 0.6857 W
0.3348 0.8086 0.8143 W
0.4737 0.6652 0.8143 W
0.4737 0.8086 0.6857 W
0.5263 0.1914 0.3143 W
0.5263 0.3348 0.1857 W
0.6652 0.1914 0.1857 W
0.6652 0.4737 0.3143 W
0.8086 0.3348 0.3143 W
0.8086 0.4737 0.1857 W
0.0312 0.3450 0.4088 I
0.0312 0.6863 0.0912 I
0.0394 0.3671 0.6798 I
0.0394 0.6723 0.8202 I
0.3137 0.3450 0.0912 I
0.3137 0.9688 0.4088 I
0.3277 0.3671 0.8202 I
0.3277 0.9606 0.6798 I
0.3333 0.6667 0.5473 I
0.3333 0.6667 0.9527 I
0.3450 0.0312 0.9088 I
0.3450 0.3137 0.5912 I
0.3671 0.0394 0.1798 I
0.3671 0.3277 0.3202 I
0.6329 0.6723 0.6798 I
0.6329 0.9606 0.8202 I
0.6550 0.6863 0.4088 I
0.6550 0.9688 0.0912 I
0.6667 0.3333 0.0473 I
0.6667 0.3333 0.4527 I
0.6723 0.0394 0.3202 I
0.6723 0.6329 0.1798 I
0.6863 0.0312 0.5912 I
0.6863 0.6550 0.9088 I
0.9606 0.3277 0.1798 I
0.9606 0.6329 0.3202 I
0.9688 0.3137 0.9088 I
0.9688 0.6550 0.5912 I
```

The 10 most intense peaks (2θ = 5–70°), by intensity:
10.7 deg, rel. 100
9.3 deg, rel. 41
39.1 deg, rel. 39
26.6 deg, rel. 36
28.1 deg, rel. 32
44.5 deg, rel. 23
14.0 deg, rel. 22
10.4 deg, rel. 21
34.3 deg, rel. 17
38.4 deg, rel. 14


[10]
ErAgS2: calculated powder diffractogram (CuKα), based on a cell relaxed with PBE.
No peak broadening, texture or thermal motion is included.

Crystal structure
```
ErAgS2
1.0
-2.6967 2.6967 5.9908
2.6967 -2.6967 5.9908
2.6967 2.6967 -5.9908
Er Ag S
2 2 4
direct
0.0000 0.0000 0.0000 Er
0.7500 0.2500 0.5000 Er
0.2165 0.7165 0.5000 Ag
0.4665 0.4665 0.0000 Ag
0.2295 0.2295 0.0000 S
0.5245 0.0245 0.5000 S
0.7745 0.7745 0.0000 S
0.9795 0.4795 0.5000 S
```

The 10 most intense peaks (2θ = 5–70°), by intensity:
27.7 deg, rel. 100
33.2 deg, rel. 80
45.2 deg, rel. 53
29.8 deg, rel. 43
56.1 deg, rel. 28
47.7 deg, rel. 28
57.3 deg, rel. 26
51.7 deg, rel. 14
18.0 deg, rel. 14
41.2 deg, rel. 12


[11]
Na2CdSnSe2S2: calculated powder diffractogram (CuKα), based on a cell relaxed with PBE.
No peak broadening, texture or thermal motion is included.

Crystal structure
```
Na2CdSnSe2S2
1.0
4.6893 -5.2196 0.0000
4.6893 5.2196 0.0000
-4.6478 0.0000 4.7617
Na Cd Sn Se S
2 1 1 2 2
direct
0.0000 0.0000 0.0000 Na
0.7804 0.2196 0.5000 Na
0.2723 0.7277 0.5000 Cd
0.5115 0.4885 0.0000 Sn
0.4005 0.1239 0.5415 Se
0.8761 0.5995 0.4585 Se
0.1821 0.4070 0.0271 S
0.5930 0.8179 0.9729 S
```

The 10 most intense peaks (2θ = 5–70°), by intensity:
15.7 deg, rel. 100
25.5 deg, rel. 89
25.3 deg, rel. 84
44.0 deg, rel. 36
44.1 deg, rel. 36
46.4 deg, rel. 31
37.8 deg, rel. 27
38.4 deg, rel. 26
46.0 deg, rel. 16
46.7 deg, rel. 14


[12]
NdDyAg2Bi4: calculated powder diffractogram (CuKα), based on a cell relaxed with PBE.
No peak broadening, texture or thermal motion is included.

Crystal structure
```
NdDyAg2Bi4
1.0
4.5772 0.0000 0.0000
0.0000 4.5772 0.0000
0.0000 0.0000 10.3961
Nd Dy Ag Bi
1 1 2 4
direct
0.0000 0.0000 0.0000 Nd
0.5000 0.5000 0.4962 Dy
0.0000 0.5000 0.7420 Ag
0.5000 0.0000 0.7420 Ag
0.0000 0.0000 0.5556 Bi
0.0000 0.5000 0.2513 Bi
0.5000 0.0000 0.2513 Bi
0.5000 0.5000 0.9311 Bi
```

The 10 most intense peaks (2θ = 5–70°), by intensity:
32.6 deg, rel. 100
39.4 deg, rel. 36
67.1 deg, rel. 25
53.3 deg, rel. 14
56.9 deg, rel. 14
34.5 deg, rel. 12
25.9 deg, rel. 10
28.9 deg, rel. 10
25.7 deg, rel. 9
47.6 deg, rel. 7


> Number 12 is which compound?

NdDyAg2Bi4